Starting from a DFT-relaxed cell (PBE, Alexandria), the powder diffractogram of RbNa2Pb2 was computed for Cu Kα (weighted mean of Kα1 and Kα2).
Neutral-atom scattering factors, no anomalous dispersion.

Crystal structure
```
5
Lattice="-2.955 2.955 5.549 2.955 -2.955 5.549 2.955 2.955 -5.549" Properties=species:S:1:pos:R:3 pbc="T T T"
Rb 0.000 0.000 0.000
Na 2.955 0.000 2.775
Na 0.000 2.955 2.775
Pb 0.000 0.000 4.115
Pb 0.000 0.000 6.984
```

Most intense lines, 10 to 90 degrees two-theta, in order of rising 2θ:
2θ/deg, Rel. int.
17.00, 61
21.26, 100
28.46, 79
30.25, 64
34.90, 23
38.97, 30
42.02, 56
43.31, 24
48.73, 23
53.94, 19